PrSm3Os: computed X-ray powder pattern (Cu Kα), based on a GGA-PBE-relaxed structure.
Kinematic intensities with the Lorentz-polarization factor, no thermal factor.

The 8 most intense peaks (2θ = 10–90°), sorted by position:
| 2θ/deg | d_spacing | I (rel.) | (hkl) |
| --- | --- | --- | --- |
| 14.67 | 6.038 | 38 | 2 0 -1 |
| 20.16 | 4.404 | 29 | 2 0 0 |
| 29.35 | 3.043 | 31 | 0 0 2 |
| 29.59 | 3.018 | 100 | 2 2 -2 |
| 32.39 | 2.764 | 30 | 4 0 -1 |
| 32.61 | 2.746 | 52 | 1 3 -1 |
| 33.78 | 2.653 | 67 | 3 1 -3 |
| 38.58 | 2.334 | 30 | 4 2 -1 |

Cell and atoms:
```
data_PrSm3Os
_chemical_formula_sum 'Pr4 Sm12 Os4'
_cell_length_a 12.101
_cell_length_b 8.721
_cell_length_c 8.360
_cell_angle_alpha 90.00
_cell_angle_beta 133.28
_cell_angle_gamma 90.00
_symmetry_space_group_name_H-M 'C 1 2/m 1'
_symmetry_Int_Tables_number 12
_symmetry_space_group_name_Hall '-C 2y'
loop_
_atom_site_label
_atom_site_type_symbol
_atom_site_fract_x
_atom_site_fract_y
_atom_site_fract_z
_atom_site_occupancy
Pr1 Pr 0.055 0.000 0.348 1
Sm1 Sm 0.054 0.500 0.255 1
Sm2 Sm 0.248 0.302 0.797 1
Os1 Os 0.248 0.500 0.114 1
```